1.
# CaBi4O6
Simulated X-ray powder pattern, copper Kα. Input: a crystal structure in the Materials Project, relaxed with PBE.
Kinematic intensities with the Lorentz-polarization factor, no thermal factor.

Peak list (8 most intense, 2θ from 10° to 80°, sorted by position)
27.06 deg, intensity 35, (1 5 -1)
27.24 deg, intensity 57, (0 0 3)
27.36 deg, intensity 19, (2 0 0)
29.15 deg, intensity 100, (2 0 -2)
30.44 deg, intensity 40, (1 5 -2)
30.83 deg, intensity 24, (2 0 1)
46.82 deg, intensity 27, (3 5 -1)
54.74 deg, intensity 31, (3 5 -4)

Structural model:
Cell lengths 6.7068, 19.5327, 10.1009 Å; angles 90.00, 103.48, 90.00 degrees
Space group Cm (No. 8)
Unique sites:
Ca (0.0000, 0.0000, 0.0000) [2 per cell]
Ca (0.0151, 0.4036, 0.0221) [4 per cell]
Bi (0.0020, 0.1880, 0.0129) [4 per cell]
Bi (0.1907, 0.1857, 0.6917) [4 per cell]
Bi (0.2282, 0.0000, 0.7128) [2 per cell]
Bi (0.2348, 0.3900, 0.6927) [4 per cell]
Bi (0.2558, 0.5000, 0.3465) [2 per cell]
Bi (0.2679, 0.1012, 0.3565) [4 per cell]
Bi (0.2928, 0.2984, 0.3495) [4 per cell]
O (0.0604, 0.2884, 0.7154) [4 per cell]
O (0.1689, 0.1038, 0.1387) [4 per cell]
O (0.2183, 0.5000, 0.1366) [2 per cell]
O (0.2298, 0.3084, 0.1374) [4 per cell]
O (0.2638, 0.1713, 0.9065) [4 per cell]
O (0.3028, 0.3975, 0.9148) [4 per cell]
O (0.3222, 0.0000, 0.9293) [2 per cell]
O (0.4025, 0.0000, 0.3336) [2 per cell]
O (0.4090, 0.5000, 0.7289) [2 per cell]
O (0.4384, 0.4035, 0.3825) [4 per cell]
O (0.4634, 0.1929, 0.3407) [4 per cell]


2.
# AlPO4
Simulated X-ray powder pattern, copper Kα. Input: a crystal structure in the Materials Project, relaxed with PBE.
Kinematic intensities with the Lorentz-polarization factor, no thermal factor.

Peak list (8 most intense, 2θ from 10° to 80°, sorted by position)
25.45 deg, intensity 100, (1 1 1)
27.51 deg, intensity 56, (0 2 1)
34.85 deg, intensity 28, (2 0 0)
36.19 deg, intensity 67, (1 1 2)
39.41 deg, intensity 26, (1 3 0)
42.31 deg, intensity 19, (2 2 0)
46.14 deg, intensity 22, (2 0 2)
68.38 deg, intensity 33, (2 4 2)

Structural model:
Cell lengths 5.1492, 7.6556, 6.0993 Å; angles 90.00, 90.00, 90.00 degrees
Space group Cmcm (No. 63)
Unique sites:
Al (0.0000, 0.0000, 0.0000) [4 per cell]
P (0.0000, 0.3452, 0.2500) [4 per cell]
O (0.0000, 0.2348, 0.0434) [8 per cell]
O (0.2493, 0.4666, 0.2500) [8 per cell]


3.
# Li2CuF5
Simulated X-ray powder pattern, copper Kα. Input: a crystal structure in the Materials Project, relaxed with PBE.
Kinematic intensities with the Lorentz-polarization factor, no thermal factor.

Peak list (8 most intense, 2θ from 10° to 80°, sorted by position)
17.83 deg, intensity 56, (0 2 0)
18.11 deg, intensity 49, (0 0 2)
20.01 deg, intensity 41, (0 2 1)
24.61 deg, intensity 27, (1 1 0)
25.52 deg, intensity 45, (0 2 2)
26.26 deg, intensity 100, (1 1 1)
45.85 deg, intensity 43, (0 4 3)
46.79 deg, intensity 27, (2 0 0)

Structural model:
Cell lengths 3.8833, 9.9519, 9.7976 Å; angles 90.00, 90.00, 90.00 degrees
Space group Cmcm (No. 63)
Unique sites:
Li (0.0000, 0.1310, 0.0696) [8 per cell]
Cu (0.0000, 0.1925, 0.7500) [4 per cell]
F (0.0000, 0.0590, 0.6146) [8 per cell]
F (0.0000, 0.2770, 0.2500) [4 per cell]
F (0.0000, 0.3187, 0.6021) [8 per cell]